Record 1
Simulated X-ray powder pattern
Compound: PuCd6Hg
Radiation: CuKα
Structure: a structure optimized by DFT (GGA-PBE)

Main lines, low angle first (2θ from 10° to 80°):
| (hkl) | 2θ (°) | I/Imax |
| --- | --- | --- |
| 1 2 2 | 34.2 | 100 |
| 1 1 3 | 34.3 | 50 |
| 0 3 1 | 35.1 | 18 |
| 0 0 4 | 35.6 | 14 |
| 2 0 0 | 36.9 | 31 |
| 2 3 1 | 51.9 | 12 |
| 0 3 5 | 57.5 | 14 |
| 3 2 2 | 64.8 | 23 |
| 1 5 3 | 68.2 | 13 |
| 2 3 5 | 70.3 | 15 |

Structure:
Cell lengths 4.868, 7.919, 10.093 Å; angles 90.00, 90.00, 90.00 degrees
Space group Amm2 (No. 38)
Asymmetric unit:
Pu (0.000, 0.000, 0.000) [2 per cell]
Cd (0.000, 0.000, 0.402) [2 per cell]
Cd (0.000, 0.190, 0.702) [4 per cell]
Cd (0.500, 0.000, 0.792) [2 per cell]
Cd (0.500, 0.205, 0.497) [4 per cell]
Hg (0.500, 0.000, 0.212) [2 per cell]

=====

Record 2
Simulated X-ray powder pattern
Compound: CsInBi2
Radiation: CuKα
Structure: a structure optimized by DFT (GGA-PBE)

Main lines, low angle first (2θ from 10° to 80°):
| (hkl) | 2θ (°) | I/Imax |
| --- | --- | --- |
| 0 0 2 | 11.2 | 31 |
| 2 0 -2 | 23.6 | 23 |
| 1 1 2 | 25.5 | 100 |
| 2 1 -1 | 28.6 | 29 |
| 1 2 -3 | 34.3 | 20 |
| 2 2 -2 | 38.5 | 15 |
| 1 2 3 | 39.7 | 15 |
| 2 0 4 | 41.9 | 12 |
| 3 1 -6 | 42.7 | 26 |
| 0 3 1 | 46.0 | 19 |

Structure:
Cell lengths 7.524, 5.971, 17.450 Å; angles 90.00, 115.39, 90.00 degrees
Space group P2_1/c (No. 14)
Asymmetric unit:
Cs (0.250, 0.250, 0.250) [4 per cell]
In (0.250, 0.000, 0.000) [4 per cell]
Bi (0.078, 0.665, 0.079) [4 per cell]
Bi (0.422, 0.665, 0.921) [4 per cell]

=====

Record 3
Simulated X-ray powder pattern
Compound: SmMg3In3
Radiation: CuKα
Structure: a structure optimized by DFT (GGA-PBE)

Main lines, low angle first (2θ from 10° to 80°):
| (hkl) | 2θ (°) | I/Imax |
| --- | --- | --- |
| 2 0 0 | 23.0 | 42 |
| 2 1 0 | 25.8 | 49 |
| 2 1 1 | 28.3 | 100 |
| 3 2 1 | 43.8 | 60 |
| 4 0 0 | 47.0 | 24 |
| 4 2 0 | 53.0 | 17 |
| 3 3 2 | 55.8 | 15 |
| 5 2 1 | 66.2 | 17 |
| 4 4 0 | 68.7 | 15 |
| 6 1 1 | 75.9 | 17 |

Structure:
Cell lengths 7.727, 7.727, 7.727 Å; angles 90.00, 90.00, 90.00 degrees
Space group Pm-3n (No. 223)
Asymmetric unit:
Sm (0.000, 0.000, 0.000) [2 per cell]
Mg (0.000, 0.250, 0.500) [6 per cell]
In (0.000, 0.500, 0.250) [6 per cell]